This entry pairs a crystal structure of MnAsO4 with its theoretical PXRD pattern. Radiation: Cu Kα (λ = 1.5418 Å). Structure: the PBE+U geometry in the Materials Project.
Kinematic intensities with the Lorentz-polarization factor, no thermal factor.

Largest 10 diffraction maxima, sorted by position, 5 to 70 degrees two-theta:
- (1 0 1), 4.551 Å, 2θ = 19.51°, intensity 100
- (2 1 0), 3.944 Å, 2θ = 22.55°, intensity 47
- (2 0 1), 3.612 Å, 2θ = 24.65°, intensity 16
- (0 2 0), 3.074 Å, 2θ = 29.05°, intensity 59
- (3 1 1), 2.578 Å, 2θ = 34.79°, intensity 75
- (1 2 1), 2.547 Å, 2θ = 35.23°, intensity 40
- (1 0 2), 2.464 Å, 2θ = 36.47°, intensity 19
- (1 1 2), 2.287 Å, 2θ = 39.40°, intensity 19
- (3 3 1), 1.662 Å, 2θ = 55.28°, intensity 20
- (2 2 3), 1.424 Å, 2θ = 65.55°, intensity 16

Atomic structure:
Unit cell a=10.282 b=6.148 c=5.075 alpha=90.00 beta=90.00 gamma=90.00
Space group Pnma (No. 62)
Asymmetric unit:
Mn 0.219 0.250 0.062 x4
As 0.099 0.750 0.074 x4
O 0.064 0.250 0.853 x4
O 0.117 0.750 0.738 x4
O 0.177 0.538 0.235 x8